# 1
Calculated powder diffractogram
Compound: K2NaZnI6
Radiation: Cu Kα, 1.54184 Å
Structure: a DFT-relaxed cell (GGA-PBE, OQMD)

Most intense lines, 10 to 90 degrees two-theta, low angle first:
2θ (°)	d_spacing	I (rel.)
14.34	6.176	26
25.85	3.447	100
26.49	3.365	91
28.91	3.088	60
31.52	2.838	36
33.10	2.706	58
35.36	2.538	42
43.30	2.090	28
44.52	2.035	24
46.30	1.961	39

Crystal structure
a b c (Å): 8.3881 8.3881 8.3881
angles (deg): 122.83 122.83 85.17
Positions (direct):
1 K 0.2500 0.7500 0.5000
2 K 0.7500 0.2500 0.5000
3 Na 0.0000 0.0000 0.0000
4 Zn 0.5000 0.5000 0.0000
5 I 0.1850 0.6573 0.8423
6 I 0.2622 0.2622 0.0000
7 I 0.3427 0.1850 0.5277
8 I 0.6573 0.8150 0.4723
9 I 0.7378 0.7378 0.0000
10 I 0.8150 0.3427 0.1577

# 2
Calculated powder diffractogram
Compound: GaPt7
Radiation: Cu Kα, 1.54184 Å
Structure: a DFT-relaxed cell (GGA-PBE, OQMD)

Most intense lines, 10 to 90 degrees two-theta, low angle first:
2θ (°)	d_spacing	I (rel.)
38.96	2.312	100
40.17	2.245	50
44.24	2.047	12
45.83	1.980	50
46.37	1.958	14
65.58	1.423	14
66.81	1.400	16
67.23	1.393	18
80.13	1.198	39
80.90	1.188	14

Crystal structure
a b c (Å): 2.8009 2.8009 45.0408
angles (deg): 90.00 90.00 90.00
Positions (direct):
1 Ga 0.2500 0.2500 0.1686
2 Ga 0.7500 0.7500 0.8314
3 Pt 0.2500 0.2500 0.2572
4 Pt 0.2500 0.2500 0.3457
5 Pt 0.2500 0.2500 0.4337
6 Pt 0.2500 0.2500 0.5221
7 Pt 0.2500 0.2500 0.6103
8 Pt 0.2500 0.2500 0.6984
9 Pt 0.2500 0.2500 0.7892
10 Pt 0.7500 0.7500 0.2108
11 Pt 0.7500 0.7500 0.3016
12 Pt 0.7500 0.7500 0.3897
13 Pt 0.7500 0.7500 0.4779
14 Pt 0.7500 0.7500 0.5663
15 Pt 0.7500 0.7500 0.6543
16 Pt 0.7500 0.7500 0.7428

# 3
Calculated powder diffractogram
Compound: Ba2ScNi
Radiation: Cu Kα, 1.54184 Å
Structure: a DFT-relaxed cell (GGA-PBE, OQMD)

Most intense lines, 10 to 90 degrees two-theta, low angle first:
2θ (°)	d_spacing	I (rel.)
19.83	4.478	19
32.65	2.742	100
38.49	2.339	11
46.85	1.939	18
51.34	1.780	5
58.27	1.583	36
68.42	1.371	11
72.03	1.311	4
77.89	1.226	15
87.04	1.120	4

Crystal structure
a b c (Å): 7.7567 7.7567 7.7567
angles (deg): 90.00 90.00 90.00
Positions (direct):
1 Ba 0.0000 0.0000 0.0000
2 Ba 0.0000 0.5000 0.5000
3 Ba 0.2500 0.2500 0.2500
4 Ba 0.2500 0.7500 0.7500
5 Ba 0.5000 0.0000 0.5000
6 Ba 0.5000 0.5000 0.0000
7 Ba 0.7500 0.2500 0.7500
8 Ba 0.7500 0.7500 0.2500
9 Sc 0.2500 0.2500 0.7500
10 Sc 0.2500 0.7500 0.2500
11 Sc 0.7500 0.2500 0.2500
12 Sc 0.7500 0.7500 0.7500
13 Ni 0.0000 0.0000 0.5000
14 Ni 0.0000 0.5000 0.0000
15 Ni 0.5000 0.0000 0.0000
16 Ni 0.5000 0.5000 0.5000

# 4
Calculated powder diffractogram
Compound: SrReGe2O7
Radiation: Cu Kα, 1.54184 Å
Structure: a DFT-relaxed cell (GGA-PBE, OQMD)

Most intense lines, 10 to 90 degrees two-theta, low angle first:
2θ (°)	d_spacing	I (rel.)
16.26	5.451	35
20.65	4.301	20
26.49	3.365	45
28.04	3.182	100
28.99	3.080	70
32.86	2.726	56
33.75	2.656	21
34.16	2.625	23
47.58	1.911	25
51.88	1.762	18

Crystal structure
a b c (Å): 5.5915 5.5915 4.7946
angles (deg): 96.07 96.07 100.58
Positions (direct):
1 Sr 0.0000 0.0000 0.0000
2 Re 0.4088 0.5912 0.0000
3 Ge 0.5176 0.0434 0.5682
4 Ge 0.9566 0.4824 0.4318
5 O 0.1058 0.6458 0.7550
6 O 0.1859 0.3998 0.2348
7 O 0.3542 0.8942 0.2450
8 O 0.3827 0.2517 0.7701
9 O 0.6002 0.8141 0.7652
10 O 0.7483 0.6173 0.2299
11 O 0.8230 0.1770 0.5000

# 5
Calculated powder diffractogram
Compound: PdS2
Radiation: Cu Kα, 1.54184 Å
Structure: a DFT-relaxed cell (GGA-PBE, OQMD)

Most intense lines, 10 to 90 degrees two-theta, low angle first:
2θ (°)	d_spacing	I (rel.)
17.47	5.076	100
28.49	3.132	25
28.95	3.084	20
30.72	2.910	32
31.99	2.797	17
35.18	2.551	62
43.53	2.079	31
48.43	1.880	28
50.18	1.818	40
53.54	1.712	30

Crystal structure
a b c (Å): 10.3662 10.3662 10.3662
angles (deg): 20.20 20.20 20.20
Positions (direct):
1 Pd 0.0000 0.0000 0.0000
2 Pd 0.1657 0.1657 0.1657
3 S 0.4592 0.4592 0.4592
4 S 0.6279 0.6279 0.6279
5 S 0.7046 0.7046 0.7046
6 S 0.8722 0.8722 0.8722

# 6
Calculated powder diffractogram
Compound: Zr2Ge2O5
Radiation: Cu Kα, 1.54184 Å
Structure: a DFT-relaxed cell (GGA-PBE, OQMD)

Most intense lines, 10 to 90 degrees two-theta, low angle first:
2θ (°)	d_spacing	I (rel.)
30.66	2.916	43
31.53	2.837	100
43.92	2.062	33
46.45	1.955	14
55.06	1.668	41
56.69	1.624	15
63.85	1.458	10
65.83	1.419	18
82.55	1.169	9
89.23	1.098	10

Crystal structure
a b c (Å): 4.1234 4.1234 7.8202
angles (deg): 90.00 90.00 90.00
Positions (direct):
1 Zr 0.0000 0.0000 0.2420
2 Zr 0.0000 0.0000 0.7580
3 Ge 0.5000 0.5000 0.0000
4 Ge 0.5000 0.5000 0.5000
5 O 0.0000 0.0000 0.5000
6 O 0.0000 0.5000 0.2487
7 O 0.0000 0.5000 0.7513
8 O 0.5000 0.0000 0.2487
9 O 0.5000 0.0000 0.7513

# 7
Calculated powder diffractogram
Compound: GdYCu2Ge4
Radiation: Cu Kα, 1.54184 Å
Structure: a DFT-relaxed cell (GGA-PBE, OQMD)

Most intense lines, 10 to 90 degrees two-theta, low angle first:
2θ (°)	d_spacing	I (rel.)
30.66	2.916	17
33.90	2.644	37
34.11	2.629	100
37.95	2.371	22
42.76	2.115	30
43.71	2.071	28
47.49	1.914	19
55.65	1.651	18
62.80	1.480	18
66.51	1.406	13

Crystal structure
a b c (Å): 4.2295 4.1420 17.1756
angles (deg): 90.00 90.00 90.00
Positions (direct):
1 Gd 0.0000 0.0000 0.0000
2 Gd 0.0000 0.5000 0.5000
3 Y 0.5000 0.0000 0.7924
4 Y 0.5000 0.5000 0.2924
5 Cu 0.0000 0.0000 0.2233
6 Cu 0.0000 0.5000 0.7233
7 Cu 0.5000 0.0000 0.5689
8 Cu 0.5000 0.5000 0.0689
9 Ge 0.0000 0.0000 0.3585
10 Ge 0.0000 0.0000 0.6459
11 Ge 0.0000 0.5000 0.1459
12 Ge 0.0000 0.5000 0.8585
13 Ge 0.5000 0.0000 0.1466
14 Ge 0.5000 0.0000 0.4334
15 Ge 0.5000 0.5000 0.6466
16 Ge 0.5000 0.5000 0.9334

# 8
Calculated powder diffractogram
Compound: LiTa3Ge5
Radiation: Cu Kα, 1.54184 Å
Structure: a DFT-relaxed cell (GGA-PBE, OQMD)

Most intense lines, 10 to 90 degrees two-theta, low angle first:
2θ (°)	d_spacing	I (rel.)
13.18	6.716	100
18.36	4.831	39
26.54	3.358	15
37.22	2.416	23
39.65	2.273	82
40.28	2.239	23
46.30	1.961	60
67.12	1.395	16
68.00	1.379	15
81.27	1.184	18

Crystal structure
a b c (Å): 5.5786 5.5786 6.7162
angles (deg): 90.00 90.00 120.00
Positions (direct):
1 Li 0.0000 0.0000 0.0000
2 Ta 0.0000 0.5000 0.5000
3 Ta 0.5000 0.0000 0.5000
4 Ta 0.5000 0.5000 0.5000
5 Ge 0.0000 0.0000 0.5000
6 Ge 0.3333 0.6667 0.1813
7 Ge 0.3333 0.6667 0.8187
8 Ge 0.6667 0.3333 0.1813
9 Ge 0.6667 0.3333 0.8187